Simulated X-ray powder pattern of Li2NpTlI8 for copper Kα, from a DFT-relaxed cell (PBE, Alexandria).

Atomic structure:
```
data_Li2NpTlI8
_space_group_name_H-M_alt 'P -1'
_space_group_IT_number 2
_cell_length_a 7.173
_cell_length_b 7.517
_cell_length_c 9.875
_cell_angle_alpha 89.11
_cell_angle_beta 89.47
_cell_angle_gamma 81.55
loop_
_space_group_symop_operation_xyz
'x,y,z'
'-x,-y,-z'
loop_
_atom_site_label
_atom_site_type_symbol
_atom_site_fract_x
_atom_site_fract_y
_atom_site_fract_z
Li1 Li 0.009 0.004 0.332
Np1 Np 0.500 0.500 0.000
Tl1 Tl 0.500 0.500 0.500
I1 I 0.210 0.170 0.505
I2 I 0.248 0.683 0.212
I3 I 0.249 0.683 0.787
I4 I 0.280 0.207 0.005
```

Principal peaks in the range 10 to 90 degrees two-theta, in order of falling intensity:
25.8°, I 100; 26.0°, I 96; 25.4°, I 77; 11.9°, I 63; 32.2°, I 58; 12.5°, I 48; 16.0°, I 38; 41.0°, I 36; 36.4°, I 35; 40.5°, I 32